For ZnCu2O4, a DFT-relaxed cell (PBE, the Materials Project) gives the theoretical powder XRD pattern in this record (Cu Kα, 1.54184 Å).
Neutral-atom scattering factors, no anomalous dispersion.

Structure:
```
14
Lattice="2.9679 1.7135 4.8579 -2.9679 1.7135 4.8579 0.0000 -3.4271 4.8579" Properties=species:S:1:pos:R:3 pbc="T T T"
Zn 0.0000 0.0000 0.0000
Zn 0.0000 0.0000 5.5792
Cu 0.0000 -1.7154 2.4351
Cu -1.4855 0.8577 2.4351
Cu 1.4855 0.8577 2.4351
Cu 0.0000 0.0000 9.0600
O -1.5921 -0.9192 8.3288
O 0.0000 -1.8663 6.2359
O -1.6163 0.9332 6.2359
O 0.0000 0.0000 3.6134
O 1.5921 -0.9192 8.3288
O 0.0000 1.8384 8.3288
O 0.0000 0.0000 10.9408
O 1.6163 0.9332 6.2359
```

The 6 most intense peaks (2θ = 5–70°), low angle first:
2θ (°), Rel. int.
30.09, 29
35.44, 100
43.07, 17
56.94, 23
62.49, 20
62.60, 21

For ZnCu2O4, a DFT-relaxed cell (PBE, the Materials Project) gives the theoretical powder XRD pattern in this record (Cu Kα, 1.54184 Å).
Neutral-atom scattering factors, no anomalous dispersion.

Structure:
```
14
Lattice="0.0000 4.1952 4.1952 4.1952 0.0000 4.1952 4.1952 4.1952 0.0000" Properties=species:S:1:pos:R:3 pbc="T T T"
Zn 1.0488 1.0488 1.0488
Zn 7.3415 7.3415 7.3415
Cu 4.1952 2.0976 2.0976
Cu 2.0976 4.1952 2.0976
Cu 2.0976 2.0976 4.1952
Cu 4.1952 4.1952 4.1952
O 2.1882 2.1882 2.1882
O 4.1045 4.1045 2.1882
O 4.1045 2.1882 4.1045
O 6.2021 4.2858 4.2858
O 2.1882 4.1045 4.1045
O 4.2858 6.2021 4.2858
O 4.2858 4.2858 6.2021
O 6.2021 6.2021 6.2021
```

The 6 most intense peaks (2θ = 5–70°), low angle first:
2θ (°), Rel. int.
30.13, 30
35.48, 100
37.12, 12
43.13, 17
57.04, 36
62.63, 43

For ZnCu2O4, a DFT-relaxed cell (PBE, the Materials Project) gives the theoretical powder XRD pattern in this record (Cu Kα, 1.54184 Å).
Neutral-atom scattering factors, no anomalous dispersion.

Structure:
```
14
Lattice="-2.7374 2.7374 5.4266 2.7374 -2.7374 5.4266 2.7374 2.7374 -5.4266" Properties=species:S:1:pos:R:3 pbc="T T T"
Zn 2.7374 1.3687 1.3566
Zn 0.0000 1.3687 4.0699
Cu 0.0000 0.0000 0.0000
Cu 1.3687 1.3687 -2.7133
Cu 1.3687 -1.3687 2.7133
Cu 0.0000 2.7374 0.0000
O 2.7375 -0.1227 2.6745
O 2.7374 2.6148 -2.6745
O 1.2461 1.3687 0.0387
O 1.4914 -1.3687 5.4653
O 1.2461 4.1062 -0.0387
O 1.4914 1.3687 5.3878
O 0.0000 0.1227 8.1011
O 0.0000 2.8601 2.7520
```

The 6 most intense peaks (2θ = 5–70°), low angle first:
2θ (°), Rel. int.
28.32, 35
29.60, 100
37.66, 84
44.92, 28
58.58, 57
61.68, 24

For ZnCu2O4, a DFT-relaxed cell (PBE, the Materials Project) gives the theoretical powder XRD pattern in this record (Cu Kα, 1.54184 Å).
Neutral-atom scattering factors, no anomalous dispersion.

Structure:
```
14
Lattice="-2.7279 2.7279 4.7992 2.7279 -2.7279 4.7992 2.7279 2.7279 -4.7992" Properties=species:S:1:pos:R:3 pbc="T T T"
Zn 0.0000 1.3639 1.1998
Zn 2.7279 1.3639 3.5994
Cu 1.3639 1.3639 -2.3996
Cu 1.3639 -1.3639 2.3996
Cu 2.7279 0.0000 0.0000
Cu 0.0000 0.0000 4.7992
O 1.1087 0.4381 -0.7431
O 1.8021 0.2552 1.6565
O 1.6191 -0.4381 4.0561
O 1.8021 2.9831 -1.6565
O 0.9258 -0.2552 6.4557
O 1.1087 3.1660 0.7431
O 0.9258 2.4727 3.1427
O 1.6191 2.2897 5.5423
```

The 6 most intense peaks (2θ = 5–70°), low angle first:
2θ (°), Rel. int.
29.71, 25
32.44, 52
37.94, 57
38.05, 100
50.39, 25
61.70, 34

For ZnCu2O4, a DFT-relaxed cell (PBE, the Materials Project) gives the theoretical powder XRD pattern in this record (Cu Kα, 1.54184 Å).
Neutral-atom scattering factors, no anomalous dispersion.

Structure:
```
14
Lattice="1.4688 -4.8357 0.0000 1.4688 4.8357 0.0000 0.0000 0.0000 9.4253" Properties=species:S:1:pos:R:3 pbc="T T T"
Zn 1.4688 3.7794 7.0690
Zn 1.4688 -3.7794 2.3563
Cu 1.4688 1.2724 5.3690
Cu 1.4688 1.2724 8.7691
Cu 1.4688 -1.2724 0.6563
Cu 1.4688 -1.2724 4.0564
O 0.0000 0.0000 0.0000
O 0.0000 0.0000 4.7127
O 1.4688 2.1467 1.0596
O 1.4688 2.1467 3.6531
O 1.4688 0.3935 7.0690
O 1.4688 -0.3935 2.3563
O 1.4688 -2.1467 5.7723
O 1.4688 -2.1467 8.3657
```

The 6 most intense peaks (2θ = 5–70°), low angle first:
2θ (°), Rel. int.
33.26, 31
34.03, 100
37.22, 58
42.73, 58
46.02, 42
59.00, 22

For ZnCu2O4, a DFT-relaxed cell (PBE, the Materials Project) gives the theoretical powder XRD pattern in this record (Cu Kα, 1.54184 Å).
Neutral-atom scattering factors, no anomalous dispersion.

Structure:
```
56
Lattice="5.1393 -2.9791 0.0000 5.1393 2.9791 0.0000 -3.4876 0.0000 19.3688" Properties=species:S:1:pos:R:3 pbc="T T T"
Zn 0.0000 0.0000 0.0000
Zn -1.8316 0.0000 11.5408
Zn -1.7662 0.0000 16.9367
Zn -0.0393 0.0000 14.5431
Zn 1.6098 0.0000 6.6497
Zn 3.3948 0.0000 9.6832
Zn 6.8312 0.0000 4.8239
Zn 8.5585 0.0000 2.4267
Cu 2.5716 1.4906 0.0006
Cu 0.8278 1.4878 9.6813
Cu 1.7471 0.0000 3.0314
Cu 2.5237 1.4823 14.5350
Cu 4.2701 1.4811 4.8405
Cu 1.6725 0.0000 12.0970
Cu 1.7046 0.0000 17.5891
Cu 2.5716 -1.4906 0.0006
Cu 0.8278 -1.4878 9.6813
Cu 5.0891 0.0000 1.7709
Cu 5.1179 0.0000 7.2620
Cu 5.1318 0.0000 12.7156
Cu 2.5237 -1.4823 14.5350
Cu 4.2701 -1.4811 4.8405
Cu 5.0447 0.0000 16.3406
Cu 8.5697 0.0000 7.8575
O -1.8435 0.0000 13.5160
O -0.0349 0.0000 3.7461
O 2.6885 1.5457 3.7315
O 0.9815 1.3820 13.3167
O 4.1449 1.5619 1.1165
O 1.7780 0.0000 1.1280
O 0.0280 0.0000 10.8784
O 2.3764 1.3627 10.8696
O 1.5971 0.0000 8.6412
O -0.0989 0.0000 18.2427
O 2.6452 1.5568 18.2481
O 4.4258 1.3887 8.4697
O 4.1065 1.5376 15.6504
O 3.4952 0.0000 5.9936
O 1.7618 0.0000 15.6208
O 5.8077 1.3460 6.0177
O 5.0498 0.0000 3.6992
O 3.3333 0.0000 13.3034
O 0.9815 -1.3820 13.3167
O 2.6885 -1.5457 3.7315
O 2.3764 -1.3627 10.8696
O 4.1449 -1.5619 1.1165
O 6.8971 0.0000 1.1188
O 5.2226 0.0000 10.7315
O 5.0126 0.0000 18.2459
O 6.7961 0.0000 8.4776
O 4.4258 -1.3887 8.4697
O 2.6452 -1.5568 18.2481
O 5.8077 -1.3460 6.0177
O 4.1065 -1.5376 15.6504
O 6.8129 0.0000 15.6785
O 8.6419 0.0000 5.9293
```

The 6 most intense peaks (2θ = 5–70°), low angle first:
2θ (°), Rel. int.
30.06, 28
35.40, 100
35.51, 49
43.00, 18
56.86, 26
62.58, 52

For ZnCuO2, a DFT-relaxed cell (PBE, the Materials Project) gives the theoretical powder XRD pattern in this record (Cu Kα, 1.54184 Å).
Neutral-atom scattering factors, no anomalous dispersion.

Structure:
```
16
Lattice="2.9810 0.0000 0.0000 -0.2768 7.9388 0.0000 -0.7111 -0.0820 8.2865" Properties=species:S:1:pos:R:3 pbc="T T T"
Zn 0.1193 3.2817 2.1798
Zn 0.0704 1.8224 7.3869
Zn 1.9227 6.0344 0.8996
Zn 1.8738 4.5751 6.1066
Cu -0.1658 7.2825 6.5829
Cu 0.9658 5.9771 3.6002
Cu 1.0273 1.8797 4.6862
Cu 2.1589 0.5743 1.7035
O -0.5402 5.9334 4.7445
O 0.6518 1.7151 0.9951
O 0.4349 7.1278 1.9804
O 0.3851 3.3101 6.2164
O 1.6080 4.5467 2.0701
O 1.5582 0.7290 6.3060
O 1.3413 6.1417 7.2913
O 2.5333 1.9234 3.5420
```

The 6 most intense peaks (2θ = 5–70°), low angle first:
2θ (°), Rel. int.
21.45, 53
31.36, 94
34.27, 82
34.46, 100
35.69, 99
38.51, 52

For ZnCu2O4, a DFT-relaxed cell (PBE, the Materials Project) gives the theoretical powder XRD pattern in this record (Cu Kα, 1.54184 Å).
Neutral-atom scattering factors, no anomalous dispersion.

Structure:
```
28
Lattice="2.9263 0.0000 0.0000 -0.0437 8.9040 0.0000 -0.0006 -0.0137 10.3453" Properties=species:S:1:pos:R:3 pbc="T T T"
Zn 0.0000 0.0000 0.0000
Zn 0.0157 4.4212 1.9184
Zn 1.4274 8.7515 5.2152
Zn 1.4911 4.3167 7.0864
Cu -0.0028 5.8161 4.6215
Cu -0.0035 6.0697 9.9545
Cu 0.0322 1.3684 7.6714
Cu 0.0374 1.5980 2.3518
Cu 1.4539 7.3784 2.5038
Cu 1.4857 2.9082 9.7952
Cu 1.4665 7.1157 7.5245
Cu 1.4897 2.6570 4.7674
O -0.0012 4.0234 5.3875
O -0.0087 6.8906 1.3298
O 0.0186 2.3911 0.6122
O 0.0002 5.7113 8.0093
O -0.0092 7.6552 3.9257
O -0.0080 8.4854 6.9017
O 0.0317 1.2554 4.2967
O 0.0498 3.1978 8.3920
O 1.4570 1.0682 9.0948
O 1.4492 5.5279 3.1983
O 1.4448 7.4619 9.4578
O 1.4594 6.3418 5.7927
O 1.4841 2.9904 2.8302
O 1.5176 0.2678 1.7465
O 1.5082 1.8921 6.5025
O 1.4949 4.7126 0.2366
```

The 6 most intense peaks (2θ = 5–70°), low angle first:
2θ (°), Rel. int.
34.68, 46
34.85, 100
36.69, 80
41.73, 36
51.35, 23
63.57, 33